[1]
Simulated powder diffractogram of Li2AcP2 for Cu Kα, from a cell relaxed with PBE.
Kinematic intensities with the Lorentz-polarization factor, no thermal factor.

The 10 most intense peaks (10 to 90 degrees two-theta), by angle:
(0 0 2), 17.72 deg, I 39
(1 0 1), 22.21 deg, I 100
(1 1 0), 28.91 deg, I 35
(1 0 3), 33.81 deg, I 52
(1 1 2), 34.11 deg, I 64
(2 0 0), 41.34 deg, I 24
(2 0 2), 45.30 deg, I 17
(2 1 1), 47.42 deg, I 29
(1 0 5), 50.13 deg, I 20
(2 1 3), 54.43 deg, I 27

Structure:
```
data_Li2AcP2
_cell_length_a 4.3680
_cell_length_b 4.3680
_cell_length_c 10.0082
_cell_angle_alpha 90.00
_cell_angle_beta 90.00
_cell_angle_gamma 90.00
_symmetry_space_group_name_H-M 'P 4/n m m'
_symmetry_Int_Tables_number 129
loop_
_symmetry_equiv_pos_as_xyz
'x,y,z'
'-x,-y,-z'
'-y+1/2,x,z'
'y+1/2,-x,-z'
'-x+1/2,-y+1/2,z'
'x+1/2,y+1/2,-z'
'y,-x+1/2,z'
'-y,x+1/2,-z'
'x+1/2,-y,-z'
'-x+1/2,y,z'
'-y,-x,-z'
'y,x,z'
'-x,y+1/2,-z'
'x,-y+1/2,z'
'y+1/2,x+1/2,-z'
'-y+1/2,-x+1/2,z'
loop_
_atom_site_label
_atom_site_fract_x
_atom_site_fract_y
_atom_site_fract_z
Li1 0.2500 0.2500 0.1122
Li2 0.2500 0.7500 0.5000
Ac1 0.2500 0.2500 0.7643
P1 0.2500 0.2500 0.3562
P2 0.2500 0.7500 0.0000
```

[2]
Simulated powder diffractogram of La5Be for Cu Kα, from a cell relaxed with PBE.
Kinematic intensities with the Lorentz-polarization factor, no thermal factor.

The 10 most intense peaks (10 to 90 degrees two-theta), by angle:
(1 0 2), 27.22 deg, I 54
(1 0 3), 30.76 deg, I 100
(0 0 5), 31.74 deg, I 28
(1 1 0), 34.27 deg, I 58
(1 1 5), 47.40 deg, I 37
(2 0 0), 49.25 deg, I 21
(1 0 8), 57.97 deg, I 22
(2 1 3), 59.20 deg, I 31
(2 0 5), 59.79 deg, I 18
(2 1 8), 79.45 deg, I 18

Structure:
```
data_La5Be
_cell_length_a 3.7002
_cell_length_b 3.7002
_cell_length_c 14.0972
_cell_angle_alpha 90.00
_cell_angle_beta 90.00
_cell_angle_gamma 90.00
_symmetry_space_group_name_H-M 'P 4/m m m'
_symmetry_Int_Tables_number 123
_symmetry_space_group_name_Hall '-P 4 2'
loop_
_atom_site_label
_atom_site_fract_x
_atom_site_fract_y
_atom_site_fract_z
La1 0.0000 0.0000 0.0000
La2 0.0000 0.0000 0.3844
La3 0.5000 0.5000 0.1853
Be1 0.5000 0.5000 0.5000
```